Computed powder X-ray diffraction pattern of NaIn3Pb8 for Cu Ka, from a DFT-relaxed cell (GGA-PBE, Alexandria).
Lines closer than 0.1° are merged.

Most intense lines, 2θ from 10° to 90°, sorted by position:
Position (°2θ)	d (Å)	I (rel.)
24.06	3.699	47
24.17	3.682	23
34.28	2.616	50
34.36	2.610	100
42.39	2.132	22
49.27	1.849	18
55.61	1.653	15
61.40	1.510	19
61.52	1.507	28
82.51	1.169	13

Structure:
```
data_NaIn3Pb8
_cell_length_a 7.3980
_cell_length_b 7.3980
_cell_length_c 9.0349
_cell_angle_alpha 114.21
_cell_angle_beta 114.21
_cell_angle_gamma 89.87
_symmetry_space_group_name_H-M 'P 1'
_symmetry_Int_Tables_number 1
loop_
_symmetry_equiv_pos_as_xyz
'x,y,z'
loop_
_atom_site_label
_atom_site_type_symbol
_atom_site_fract_x
_atom_site_fract_y
_atom_site_fract_z
_atom_site_occupancy
Na1 Na 0.0000 0.0000 0.0000 1
In1 In 0.2504 0.7503 0.4994 1
In2 In 0.4997 0.4997 0.9988 1
In3 In 0.7503 0.2504 0.4994 1
Pb1 Pb 0.1284 0.6188 0.7462 1
Pb2 Pb 0.1290 0.1290 0.7472 1
Pb3 Pb 0.3814 0.3814 0.2515 1
Pb4 Pb 0.3821 0.8717 0.2525 1
Pb5 Pb 0.6188 0.1284 0.7462 1
Pb6 Pb 0.6186 0.6186 0.7470 1
Pb7 Pb 0.8706 0.8706 0.2519 1
Pb8 Pb 0.8717 0.3821 0.2525 1
```